# Ti2AgWO8
Simulated X-ray powder pattern, Cu Kα (weighted mean of Kα1 and Kα2). Input: DFT lattice parameters and positions (PBE+U).

Main lines, low angle first (10 to 90 degrees two-theta):
18.8°, intensity 49
26.7°, intensity 100
33.9°, intensity 41
34.6°, intensity 36
38.1°, intensity 19
51.9°, intensity 18

Structure:
```
data_Ti2AgWO8
_chemical_formula_sum 'Ti4 Ag2 W2 O16'
_cell_length_a 6.6839
_cell_length_b 6.6799
_cell_length_c 6.2885
_cell_angle_alpha 90.00
_cell_angle_beta 91.83
_cell_angle_gamma 90.00
_symmetry_space_group_name_H-M 'C 1 2/m 1'
_symmetry_Int_Tables_number 12
_symmetry_space_group_name_Hall '-C 2y'
loop_
_atom_site_label
_atom_site_type_symbol
_atom_site_fract_x
_atom_site_fract_y
_atom_site_fract_z
Ti1 Ti 0.0029 0.0000 0.2592
Ag1 Ag 0.0000 0.5000 0.5000
W1 W 0.0000 0.5000 0.0000
O1 O 0.0000 0.1781 0.5000
O2 O 0.0000 0.2051 0.0000
O3 O 0.2018 0.5000 0.7786
O4 O 0.2193 0.5000 0.2052
```